Calculated X-ray diffraction stick pattern
Compound: Nd8Tm3Tl
Radiation: copper Kα
Structure: a PBE-relaxed structure
Kinematic intensities with the Lorentz-polarization factor, no thermal factor.

Atomic structure:
Unit cell a=8.704 b=8.704 c=11.645 alpha=90.00 beta=90.00 gamma=90.00
Space group I-42m (No. 121)
Unique sites:
Nd  0.129  0.129  0.245
Nd  0.243  0.243  0.977
Tm  0.000  0.000  0.000
Tm  0.000  0.500  0.250
Tl  0.000  0.000  0.500

Peak list (6 most intense, 2θ from 10° to 90°, sorted by position)
| 2theta | Rel. int. | h k l |
| --- | --- | --- |
| 21.00 | 39 | 1 1 2 |
| 24.11 | 47 | 2 1 1 |
| 29.02 | 70 | 2 2 0 |
| 30.71 | 57 | 0 0 4 |
| 36.10 | 100 | 3 1 2 |
| 42.76 | 42 | 2 2 4 |